(1)
Starting from a DFT-relaxed cell (GGA-PBE, Alexandria), the powder diffractogram of CeGdDy was calculated for λ = 1.5418 Å (Cu Kα).
No peak broadening, texture or thermal motion is included.

Structural model:
```
CeGdDy
1.0
-1.7656 1.7656 7.4383
1.7656 -1.7656 7.4383
1.7656 1.7656 -7.4383
Ce Gd Dy
1 1 1
direct
0.0000 0.0000 0.0000 Ce
0.6609 0.6609 0.0000 Gd
0.3385 0.3385 0.0000 Dy
```

Largest 10 diffraction maxima, sorted by position, 2θ from 5° to 70°:
- 2θ 23.93, d 3.719, I 0.7
- 2θ 31.09, d 2.876, I 100.0
- 2θ 35.97, d 2.497, I 34.1
- 2θ 36.23, d 2.479, I 16.3
- 2θ 50.10, d 1.821, I 0.8
- 2θ 51.78, d 1.766, I 12.1
- 2θ 51.98, d 1.759, I 23.2
- 2θ 61.64, d 1.505, I 28.4
- 2θ 61.99, d 1.497, I 13.1
- 2θ 64.83, d 1.438, I 11.9

(2)
Starting from a DFT-relaxed cell (GGA-PBE, Alexandria), the powder diffractogram of RbGeSbO6 was calculated for λ = 1.5418 Å (Cu Kα).
No peak broadening, texture or thermal motion is included.

Structural model:
```
RbGeSbO6
1.0
5.2217 0.0000 0.0000
-2.6108 4.5221 0.0000
0.0000 0.0000 6.5265
Rb Ge Sb O
1 1 1 6
direct
0.0000 0.0000 0.0000 Rb
0.6667 0.3333 0.5000 Ge
0.3333 0.6667 0.5000 Sb
0.3783 0.0141 0.6654 O
0.3783 0.3642 0.3346 O
0.6358 0.0141 0.3346 O
0.6358 0.6217 0.6654 O
0.9859 0.3642 0.6654 O
0.9859 0.6217 0.3346 O
```

Largest 10 diffraction maxima, sorted by position, 2θ from 5° to 70°:
- 2θ 13.57, d 6.527, I 45.4
- 2θ 23.94, d 3.717, I 100.0
- 2θ 27.33, d 3.263, I 16.8
- 2θ 34.35, d 2.611, I 28.4
- 2θ 42.30, d 2.136, I 17.6
- 2θ 44.44, d 2.039, I 47.8
- 2θ 46.31, d 1.960, I 13.9
- 2θ 55.58, d 1.653, I 18.2
- 2θ 61.52, d 1.507, I 11.1
- 2θ 67.72, d 1.384, I 12.9

(3)
Starting from a DFT-relaxed cell (GGA-PBE, Alexandria), the powder diffractogram of Ba5P9 was calculated for λ = 1.5418 Å (Cu Kα).
No peak broadening, texture or thermal motion is included.

Structural model:
```
Ba5P9
1.0
0.0000 9.6120 5.1910
7.8995 0.0000 5.1910
7.8995 9.6120 0.0000
Ba P
10 18
direct
0.0000 0.0000 0.0000 Ba
0.2166 0.8232 0.6496 Ba
0.2500 0.2500 0.2500 Ba
0.2714 0.4574 0.5104 Ba
0.4574 0.2714 0.7609 Ba
0.4891 0.7396 0.7926 Ba
0.6004 0.9394 0.0334 Ba
0.7396 0.4891 0.9786 Ba
0.8232 0.2166 0.3106 Ba
0.9394 0.6004 0.4268 Ba
0.0318 0.5833 0.1155 P
0.0866 0.3964 0.8930 P
0.1208 0.8367 0.4366 P
0.1345 0.9806 0.2182 P
0.2035 0.4813 0.9421 P
0.3079 0.8769 0.0465 P
0.3570 0.6259 0.1635 P
0.3964 0.0866 0.6241 P
0.4813 0.2035 0.3731 P
0.5833 0.0318 0.2694 P
0.6148 0.6148 0.3852 P
0.6259 0.3570 0.8536 P
0.6442 0.8134 0.4133 P
0.8134 0.6442 0.1292 P
0.8367 0.1208 0.6058 P
0.8648 0.8648 0.6352 P
0.8769 0.3079 0.7687 P
0.9806 0.1345 0.6667 P
```

Largest 10 diffraction maxima, sorted by position, 2θ from 5° to 70°:
- 2θ 20.47, d 4.338, I 24.7
- 2θ 22.51, d 3.950, I 47.3
- 2θ 25.34, d 3.515, I 62.1
- 2θ 26.78, d 3.329, I 28.6
- 2θ 27.70, d 3.220, I 42.0
- 2θ 29.90, d 2.988, I 100.0
- 2θ 30.05, d 2.974, I 66.1
- 2θ 31.28, d 2.860, I 23.8
- 2θ 37.86, d 2.376, I 27.2
- 2θ 39.48, d 2.283, I 26.5